Computed powder diffraction line list of LiIn6Hg7 for Cu Kα, 1.54184 Å, from a crystal structure in Alexandria, relaxed with PBE.

Top 12 peaks for 2θ = 10–80°, in order of rising 2θ:
2theta  I/Imax
27.36  31
28.57  40
31.62  43
32.73  100
33.15  28
33.41  35
33.54  47
33.67  33
34.08  85
34.33  59
35.57  51
38.65  25

Cell and atoms:
Lattice parameters (Å, degrees): 10.9178 10.9178 6.5692 105.38 105.38 84.60
Positions (direct):
1 Li 0.2446 0.7554 0.7500
2 Li 0.7554 0.2446 0.2500
3 In 0.0062 0.8519 0.9534
4 In 0.1481 0.9938 0.5466
5 In 0.2290 0.2709 0.9533
6 In 0.2709 0.2290 0.4533
7 In 0.3511 0.5076 0.3948
8 In 0.4924 0.6489 0.1052
9 In 0.5076 0.3511 0.8948
10 In 0.6489 0.4924 0.6052
11 In 0.7291 0.7710 0.5467
12 In 0.7710 0.7291 0.0467
13 In 0.8519 0.0062 0.4534
14 In 0.9938 0.1481 0.0466
15 Hg 0.0059 0.7236 0.4580
16 Hg 0.0521 0.4517 0.2115
17 Hg 0.2302 0.5120 0.7806
18 Hg 0.2453 0.7547 0.2500
19 Hg 0.2764 0.9941 0.0420
20 Hg 0.4517 0.0521 0.7115
21 Hg 0.4880 0.7698 0.7194
22 Hg 0.5120 0.2302 0.2806
23 Hg 0.5483 0.9479 0.2885
24 Hg 0.7236 0.0059 0.9580
25 Hg 0.7547 0.2453 0.7500
26 Hg 0.7698 0.4880 0.2194
27 Hg 0.9479 0.5483 0.7885
28 Hg 0.9941 0.2764 0.5420